# Li2FeBO4
Computed powder XRD pattern, CuKα. Input: a structure optimized by DFT (PBE+U).
Neutral-atom scattering factors, no anomalous dispersion.

Structural model:
Cell lengths 4.8052, 5.1160, 7.8222 Å; angles 90.00, 127.68, 90.00 degrees
Sites, in units of the cell vectors:
Li 0.0000 0.1509 0.0000
Li 0.0000 0.8491 0.5000
Li 0.7503 0.3128 0.2474
Li 0.7503 0.6872 0.7474
Fe 0.2583 0.3225 0.7536
Fe 0.2583 0.6775 0.2536
B 0.5104 0.1797 0.4997
B 0.5104 0.8203 0.9997
O 0.2114 0.3196 0.3005
O 0.2114 0.6804 0.8005
O 0.4091 0.1000 0.9919
O 0.4091 0.9000 0.4919
O 0.5993 0.3073 0.7012
O 0.5993 0.6927 0.2012
O 0.8271 0.1936 0.5065
O 0.8271 0.8064 0.0065

Largest 10 diffraction maxima, in order of rising 2θ, 2θ from 15° to 90°:
| index | 2θ/deg | I (rel.) |
| --- | --- | --- |
| 0 1 1 | 22.5 | 87.8 |
| 1 0 -2 | 23.4 | 100.0 |
| 1 1 -1 | 25.4 | 27.2 |
| 1 1 0 | 29.3 | 20.0 |
| 0 1 2 | 33.8 | 43.3 |
| 0 2 0 | 35.1 | 28.3 |
| 2 0 -2 | 37.4 | 40.5 |
| 1 1 1 | 38.8 | 17.6 |
| 1 0 2 | 47.9 | 17.7 |
| 0 3 2 | 62.1 | 26.8 |